[1]
Structure and theoretical powder X-ray diffraction pattern of Ca2Al2FeSi3O13 (a cell relaxed with GGA+U; Cu Kα (weighted mean of Kα1 and Kα2)).
Peak positions follow from Bragg's law for the DFT cell and can differ from measured ones.

Structure:
```
data_Ca2Al2FeSi3O13
_chemical_formula_sum 'Ca4 Al4 Fe2 Si6 O26'
_cell_length_a 8.993
_cell_length_b 5.714
_cell_length_c 10.325
_cell_angle_alpha 90.00
_cell_angle_beta 115.31
_cell_angle_gamma 90.00
_space_group_name_H-M_alt 'P 1 21/m 1'
_space_group_IT_number 11
loop_
_space_group_symop_operation_xyz
'x,y,z'
'-x,-y,-z'
'-x,y+1/2,-z'
'x,-y+1/2,z'
loop_
_atom_site_label
_atom_site_fract_x
_atom_site_fract_y
_atom_site_fract_z
Ca1 0.109 0.250 0.349
Ca2 0.326 0.750 0.924
Al1 0.000 0.000 0.000
Al2 0.500 0.000 0.500
Fe1 0.436 0.250 0.727
Si1 0.087 0.250 0.772
Si2 0.208 0.750 0.548
Si3 0.366 0.250 0.180
O1 0.030 0.750 0.403
O2 0.036 0.017 0.836
O3 0.147 0.750 0.051
O4 0.163 0.250 0.092
O5 0.163 0.750 0.681
O6 0.279 0.250 0.807
O7 0.306 0.507 0.540
O8 0.397 0.250 0.353
O9 0.429 0.750 0.376
O10 0.451 0.021 0.141
```

Top 8 peaks for 2θ = 15–90°, in order of rising 2θ:
25.20°, rel. 35.4
30.20°, rel. 100.0
31.31°, rel. 37.7
32.78°, rel. 33.0
33.28°, rel. 29.9
34.15°, rel. 42.6
36.70°, rel. 24.8
65.33°, rel. 23.2

***

[2]
Structure and theoretical powder X-ray diffraction pattern of Ca2Al2FeSi3O13 (a cell relaxed with GGA+U; Cu Kα (weighted mean of Kα1 and Kα2)).
Peak positions follow from Bragg's law for the DFT cell and can differ from measured ones.

Structure:
```
data_Ca2Al2FeSi3O13
_chemical_formula_sum 'Ca4 Al4 Fe2 Si6 O26'
_cell_length_a 8.586
_cell_length_b 5.813
_cell_length_c 10.539
_cell_angle_alpha 90.00
_cell_angle_beta 91.03
_cell_angle_gamma 90.00
_space_group_name_H-M_alt 'P 1 21/m 1'
_space_group_IT_number 11
loop_
_space_group_symop_operation_xyz
'x,y,z'
'-x,-y,-z'
'-x,y+1/2,-z'
'x,-y+1/2,z'
loop_
_atom_site_label
_atom_site_fract_x
_atom_site_fract_y
_atom_site_fract_z
Ca1 0.075 0.250 0.158
Ca2 0.094 0.250 0.847
Al1 0.230 0.750 0.648
Al2 0.402 0.750 0.924
Fe1 0.000 0.000 0.500
Si1 0.324 0.750 0.351
Si2 0.393 0.250 0.278
Si3 0.438 0.250 0.828
O1 0.000 0.000 0.000
O2 0.089 0.525 0.677
O3 0.121 0.250 0.477
O4 0.206 0.750 0.475
O5 0.279 0.016 0.300
O6 0.329 0.020 0.858
O7 0.403 0.750 0.088
O8 0.404 0.250 0.125
O9 0.440 0.750 0.649
O10 0.487 0.250 0.674
```

Top 8 peaks for 2θ = 15–90°, in order of rising 2θ:
19.93°, rel. 100.0
20.36°, rel. 41.3
20.69°, rel. 45.7
26.55°, rel. 43.8
27.26°, rel. 50.0
30.76°, rel. 40.3
32.53°, rel. 51.1
34.95°, rel. 46.1

***

[3]
Structure and theoretical powder X-ray diffraction pattern of CaTb4Al2Fe2O12 (a cell relaxed with GGA+U; Cu Kα (weighted mean of Kα1 and Kα2)).
Peak positions follow from Bragg's law for the DFT cell and can differ from measured ones.

Structure:
```
data_CaTb4Al2Fe2O12
_chemical_formula_sum 'Ca1 Tb4 Al2 Fe2 O12'
_cell_length_a 6.143
_cell_length_b 6.255
_cell_length_c 7.081
_cell_angle_alpha 90.35
_cell_angle_beta 94.47
_cell_angle_gamma 91.99
_space_group_name_H-M_alt 'P 1'
_space_group_IT_number 1
loop_
_space_group_symop_operation_xyz
'x,y,z'
loop_
_atom_site_label
_atom_site_fract_x
_atom_site_fract_y
_atom_site_fract_z
Ca1 0.000 0.000 0.000
Tb1 0.423 0.361 0.544
Tb2 0.505 0.182 0.016
Tb3 0.670 0.667 0.101
Tb4 0.817 0.897 0.545
Al1 0.247 0.829 0.329
Al2 0.965 0.395 0.787
Fe1 0.353 0.769 0.776
Fe2 0.901 0.314 0.320
O1 0.001 0.663 0.333
O2 0.030 0.675 0.755
O3 0.180 0.100 0.383
O4 0.182 0.201 0.792
O5 0.328 0.847 0.090
O6 0.457 0.741 0.496
O7 0.516 0.492 0.840
O8 0.539 0.408 0.259
O9 0.658 0.935 0.835
O10 0.740 0.001 0.239
O11 0.789 0.278 0.589
O12 0.877 0.349 0.020
```

Top 8 peaks for 2θ = 15–90°, in order of rising 2θ:
25.23°, rel. 69.0
28.18°, rel. 61.6
30.93°, rel. 65.7
31.20°, rel. 74.2
31.41°, rel. 67.1
33.18°, rel. 65.3
33.84°, rel. 100.0
34.55°, rel. 77.8

***

[4]
Structure and theoretical powder X-ray diffraction pattern of CaTb4Al2Fe2O12 (a cell relaxed with GGA+U; Cu Kα (weighted mean of Kα1 and Kα2)).
Peak positions follow from Bragg's law for the DFT cell and can differ from measured ones.

Structure:
```
data_CaTb4Al2Fe2O12
_chemical_formula_sum 'Ca1 Tb4 Al2 Fe2 O12'
_cell_length_a 5.761
_cell_length_b 6.036
_cell_length_c 7.375
_cell_angle_alpha 89.32
_cell_angle_beta 88.69
_cell_angle_gamma 83.13
_space_group_name_H-M_alt 'P 1'
_space_group_IT_number 1
loop_
_space_group_symop_operation_xyz
'x,y,z'
loop_
_atom_site_label
_atom_site_fract_x
_atom_site_fract_y
_atom_site_fract_z
Ca1 0.000 0.000 0.000
Tb1 0.159 0.145 0.592
Tb2 0.265 0.334 0.146
Tb3 0.571 0.785 0.095
Tb4 0.595 0.638 0.594
Al1 0.081 0.719 0.356
Al2 0.596 0.212 0.831
Fe1 0.072 0.602 0.810
Fe2 0.721 0.196 0.366
O1 0.197 0.764 0.593
O2 0.205 0.996 0.273
O3 0.326 0.082 0.885
O4 0.413 0.574 0.307
O5 0.431 0.515 0.893
O6 0.514 0.259 0.587
O7 0.651 0.165 0.098
O8 0.748 0.872 0.804
O9 0.774 0.858 0.385
O10 0.884 0.326 0.789
O11 0.976 0.423 0.412
O12 0.998 0.646 0.097
```

Top 8 peaks for 2θ = 15–90°, in order of rising 2θ:
22.74°, rel. 84.6
24.14°, rel. 76.6
31.28°, rel. 82.9
32.01°, rel. 100.0
32.14°, rel. 70.0
33.26°, rel. 77.6
33.56°, rel. 65.9
51.76°, rel. 63.0